This entry pairs a crystal structure of Pr2Al with its theoretical powder X-ray diffraction pattern. Radiation: Cu Ka. Structure: the GGA-PBE geometry in the Materials Project.
Neutral-atom scattering factors, no anomalous dispersion.

Top 10 peaks for 10 to 90 degrees two-theta, in order of rising 2θ:
Position (°2θ)	intensity	(hkl)
22.15	23	1 0 2
23.04	38	1 1 1
27.87	38	1 1 2
31.17	23	2 1 0
31.86	100	0 1 3
32.48	74	2 1 1
33.75	43	0 2 0
40.73	19	3 0 1
47.08	23	2 2 2
57.67	19	3 1 4

```
data_Pr2Al
_chemical_formula_sum 'Pr8 Al4'
_symmetry_space_group_name_H-M 'P n m a'
_symmetry_Int_Tables_number 62
_cell_length_a 6.8202
_cell_length_b 5.3108
_cell_length_c 9.9252
_cell_angle_alpha 90.00
_cell_angle_beta 90.00
_cell_angle_gamma 90.00
loop_
_symmetry_equiv_pos_as_xyz
'x,y,z'
'-x,-y,-z'
'-x+1/2,-y,z+1/2'
'x+1/2,y,-z+1/2'
'x+1/2,-y+1/2,-z+1/2'
'-x+1/2,y+1/2,z+1/2'
'-x,y+1/2,-z'
'x,-y+1/2,z'
loop_
_atom_site_label
_atom_site_type_symbol
_atom_site_fract_x
_atom_site_fract_y
_atom_site_fract_z
Pr1 Pr 0.0227 0.2500 0.2020
Pr2 Pr 0.1938 0.2500 0.5771
Al1 Al 0.2109 0.2500 0.8980
```